For ZrSc4Tl2, the PBE geometry in Alexandria gives the calculated powder diffractogram in this record (CuKα).
Lines closer than 0.1° are merged.

Peak list (12 most intense, 2θ = 10–90°, sorted by position)
(hkl)	d (Å)	2theta	Rel. int.
1 0 1	4.911	18.06	45
1 1 0	3.784	23.51	39
1 0 3	3.266	27.31	100
2 0 0	2.675	33.49	78
1 1 4	2.394	37.57	57
1 0 5	2.245	40.16	18
2 1 3	2.070	43.74	57
2 2 0	1.892	48.10	28
2 1 5	1.720	53.26	16
3 1 4	1.484	62.58	25
4 0 0	1.338	70.35	24
4 2 0	1.197	80.20	23

Unit cell a=5.3510 b=5.3510 c=12.3679 alpha=90.00 beta=90.00 gamma=90.00
Space group I4/mmm (No. 139)
Symmetry-distinct sites (fractional):
Zr1 0.0000 0.0000 0.0000 (multiplicity 2)
Sc1 0.0000 0.5000 0.0000 (multiplicity 4)
Sc2 0.0000 0.5000 0.2500 (multiplicity 4)
Tl1 0.0000 0.0000 0.3670 (multiplicity 4)